This entry pairs a crystal structure of Cs2K4Ag with its computed powder diffraction line list. Radiation: Cu Kα X-rays. Structure: a cell relaxed with GGA-PBE.
Peak positions follow from Bragg's law for the DFT cell and can differ from measured ones.

Main lines, in order of rising 2θ (2θ = 10–90°):
| two_theta | d/Å | I_rel | (hkl) |
| --- | --- | --- | --- |
| 17.13 | 5.176 | 100 | 1 0 3 |
| 18.53 | 4.787 | 66 | 1 1 0 |
| 22.13 | 4.016 | 39 | 0 0 6 |
| 26.33 | 3.385 | 59 | 2 0 0 |
| 31.58 | 2.833 | 45 | 2 1 3 |
| 34.66 | 2.588 | 47 | 2 0 6 |

Cell: 6.770 6.770 24.096 Å, 90.00 90.00 90.00°
Space group I4/mmm (No. 139)
Asymmetric unit:
Cs1 0.000 0.000 0.162 x4
K1 0.000 0.000 0.361 x4
K2 0.000 0.500 0.000 x4
Ag1 0.000 0.000 0.500 x2